Structure and theoretical PXRD pattern of Na4Cr2PC4O16 (a structure optimized by DFT (GGA+U); CuKα).
Peak positions follow from Bragg's law for the DFT cell and can differ from measured ones.

Crystal structure
Lattice parameters (Å, degrees): 9.9560 9.9165 9.7574 60.80 60.39 58.81
Fractional coordinates of all 54 atoms:
Na1 0.0849 0.6651 0.0849
Na2 0.0851 0.6649 0.6649
Na3 0.3349 0.9151 0.3349
Na4 0.3351 0.9149 0.9149
Na5 0.6649 0.0851 0.0851
Na6 0.6651 0.0849 0.6651
Na7 0.9149 0.3351 0.3351
Na8 0.9151 0.3349 0.9151
Cr1 0.0000 0.5000 0.5000
Cr2 0.5000 0.0000 0.5000
Cr3 0.5000 0.5000 0.0000
Cr4 0.5000 0.5000 0.5000
P1 0.1250 0.1250 0.1250
P2 0.8750 0.8750 0.8750
C1 0.2819 0.6371 0.2919
C2 0.2891 0.2919 0.6371
C3 0.2919 0.2891 0.2819
C4 0.3629 0.7181 0.7109
C5 0.6371 0.2819 0.2891
C6 0.7081 0.7109 0.7181
C7 0.7109 0.7081 0.3629
C8 0.7181 0.3629 0.7081
O1 0.0552 0.3173 0.0637
O2 0.0637 0.0638 0.0552
O3 0.0638 0.0637 0.3173
O4 0.1427 0.6333 0.4080
O5 0.1450 0.3180 0.6429
O6 0.1446 0.4051 0.3071
O7 0.3071 0.6431 0.1446
O8 0.3160 0.4080 0.6333
O9 0.3173 0.0552 0.0638
O10 0.3180 0.1450 0.3941
O11 0.3571 0.6059 0.8550
O12 0.3569 0.6929 0.5949
O13 0.3667 0.8573 0.6840
O14 0.3941 0.6429 0.3180
O15 0.4051 0.1446 0.6431
O16 0.4080 0.3160 0.1427
O17 0.5920 0.6840 0.8573
O18 0.5949 0.8554 0.3569
O19 0.6059 0.3571 0.6820
O20 0.6333 0.1427 0.3160
O21 0.6431 0.3071 0.4051
O22 0.6429 0.3941 0.1450
O23 0.6820 0.8550 0.6059
O24 0.6827 0.9448 0.9362
O25 0.6840 0.5920 0.3667
O26 0.6929 0.3569 0.8554
O27 0.8554 0.5949 0.6929
O28 0.8550 0.6820 0.3571
O29 0.8573 0.3667 0.5920
O30 0.9362 0.9363 0.6827
O31 0.9363 0.9362 0.9448
O32 0.9448 0.6827 0.9363

Peak list (8 most intense, 15° ≤ 2θ ≤ 90°, in order of rising 2θ)
two_theta  Rel. int.
17.9  94
20.7  100
21.2  47
21.4  51
32.6  48
33.6  58
33.8  61
36.3  33